Entry 1:
Starting from a structure optimized by DFT (GGA-PBE), the powder X-ray diffraction pattern of Mg2Cd2InHg7 was computed for Cu Kα.

Atomic structure:
Cell: 10.483 10.483 5.467 Å, 104.97 104.97 30.23°
Fractional coordinates of all 12 atoms:
Mg1 0.000 0.000 0.000
Mg2 0.500 0.500 0.495
Cd1 0.088 0.088 0.585
Cd2 0.412 0.412 0.908
In1 0.750 0.750 0.249
Hg1 0.161 0.161 0.157
Hg2 0.250 0.250 0.746
Hg3 0.340 0.340 0.336
Hg4 0.568 0.568 0.062
Hg5 0.661 0.661 0.657
Hg6 0.840 0.840 0.841
Hg7 0.933 0.933 0.435

The 10 most intense peaks (5 to 70 degrees two-theta), by angle:
d [Å]  intensity
9.752  11
3.594  10
3.029  19
2.734  71
2.488  100
1.933  26
1.527  33
1.525  12
1.398  9
1.367  9



Entry 2:
Starting from a structure optimized by DFT (GGA-PBE), the powder X-ray diffraction pattern of MgCd2In4Hg2 was computed for Cu Kα.

Atomic structure:
Cell: 3.248 3.248 25.223 Å, 90.00 90.00 120.00°
Fractional coordinates of all 9 atoms:
Mg1 0.000 0.000 0.000
Cd1 0.667 0.333 0.098
Cd2 0.667 0.333 0.901
In1 0.000 0.000 0.205
In2 0.000 0.000 0.435
In3 0.667 0.333 0.553
In4 0.667 0.333 0.780
Hg1 0.000 0.000 0.667
Hg2 0.667 0.333 0.319

The 10 most intense peaks (5 to 70 degrees two-theta), by angle:
d [Å]  intensity
12.611  34
3.153  18
2.813  47
2.802  50
2.569  100
2.457  70
1.985  25
1.624  32
1.597  25
1.405  35